Simulated powder X-ray diffraction pattern
Compound: Ta4NbC4
Radiation: Cu Kα (λ = 1.5418 Å)
Structure: the GGA-PBE geometry in Alexandria
Kinematic intensities with the Lorentz-polarization factor, no thermal factor.

Most intense lines, 2θ from 10° to 80°, by intensity:
2θ 34.8, d = 2.576 Å, I = 100.0, hkl 1 2 0; 2θ 40.6, d = 2.223 Å, I = 38.7, hkl 0 2 1; 2θ 40.1, d = 2.246 Å, I = 20.4, hkl 2 1 1; 2θ 70.1, d = 1.342 Å, I = 18.9, hkl 1 0 4; 2θ 58.4, d = 1.581 Å, I = 13.2, hkl 2 2 -1; 2θ 58.4, d = 1.579 Å, I = 13.2, hkl 2 0 3

Structural model:
abc: 4.4927 5.4523 5.4525
angles: 80.24 65.77 65.69
Positions (direct):
Ta 0.1088 0.1995 0.0836
Ta 0.3078 0.5834 0.3004
Ta 0.6922 0.4166 0.6996
Ta 0.8912 0.8005 0.9164
Nb 0.5000 0.0000 0.5000
C 0.1981 0.4010 0.7032
C 0.4013 0.7966 0.9014
C 0.5987 0.2034 0.0986
C 0.8019 0.5990 0.2968